La3P2Pt9: simulated XRD peak list (Cu Kα, 1.54184 Å), based on DFT lattice parameters and positions (GGA-PBE).
Peak positions follow from Bragg's law for the DFT cell and can differ from measured ones.

Principal peaks in the range 2θ = 5–70°, sorted by position:
2θ = 19.92°, I = 18
2θ = 30.01°, I = 68
2θ = 35.35°, I = 19
2θ = 36.44°, I = 100
2θ = 38.21°, I = 86
2θ = 40.56°, I = 41
2θ = 43.43°, I = 44
2θ = 54.48°, I = 39
2θ = 58.83°, I = 12
2θ = 62.74°, I = 36

Structure:
Unit cell a=5.9232 b=5.9232 c=17.8649 alpha=90.00 beta=90.00 gamma=120.00
Fractional positions:
La  0.0000  0.0000  0.2500
La  0.0000  0.0000  0.7500
La  0.3333  0.6667  0.0912
La  0.3333  0.6667  0.4088
La  0.6667  0.3333  0.5912
La  0.6667  0.3333  0.9088
P  0.3333  0.6667  0.6517
P  0.3333  0.6667  0.8483
P  0.6667  0.3333  0.1517
P  0.6667  0.3333  0.3483
Pt  0.0155  0.5077  0.2500
Pt  0.1603  0.3206  0.5658
Pt  0.1603  0.3206  0.9342
Pt  0.1603  0.8397  0.5658
Pt  0.1603  0.8397  0.9342
Pt  0.3206  0.1603  0.0658
Pt  0.3206  0.1603  0.4342
Pt  0.4923  0.5077  0.2500
Pt  0.4923  0.9845  0.2500
Pt  0.5077  0.0155  0.7500
Pt  0.5077  0.4923  0.7500
Pt  0.6794  0.8397  0.5658
Pt  0.6794  0.8397  0.9342
Pt  0.8397  0.1603  0.0658
Pt  0.8397  0.1603  0.4342
Pt  0.8397  0.6794  0.0658
Pt  0.8397  0.6794  0.4342
Pt  0.9845  0.4923  0.7500


La2P3PtRh12: simulated XRD peak list (Cu Kα, 1.54184 Å), based on DFT lattice parameters and positions (GGA-PBE).
Peak positions follow from Bragg's law for the DFT cell and can differ from measured ones.

Principal peaks in the range 2θ = 5–70°, sorted by position:
2θ = 27.55°, I = 16
2θ = 32.45°, I = 26
2θ = 34.20°, I = 100
2θ = 36.25°, I = 15
2θ = 40.84°, I = 11
2θ = 42.28°, I = 77
2θ = 54.27°, I = 11
2θ = 55.31°, I = 17
2θ = 56.89°, I = 18
2θ = 63.01°, I = 16

Structure:
Unit cell a=6.9952 b=6.9952 c=6.9952 alpha=75.35 beta=75.35 gamma=75.35
Fractional positions:
La  0.1098  0.1098  0.1098
La  0.8902  0.8902  0.8902
P  0.0000  0.5000  0.5000
P  0.5000  0.0000  0.5000
P  0.5000  0.5000  0.0000
Pt  0.5000  0.5000  0.5000
Rh  0.1365  0.6541  0.6541
Rh  0.1692  0.1692  0.5845
Rh  0.1692  0.5845  0.1692
Rh  0.3459  0.3459  0.8635
Rh  0.3459  0.8635  0.3459
Rh  0.4155  0.8308  0.8308
Rh  0.5845  0.1692  0.1692
Rh  0.6541  0.1365  0.6541
Rh  0.6541  0.6541  0.1365
Rh  0.8308  0.4155  0.8308
Rh  0.8308  0.8308  0.4155
Rh  0.8635  0.3459  0.3459


LaPu5P6: simulated XRD peak list (Cu Kα, 1.54184 Å), based on DFT lattice parameters and positions (GGA-PBE).
Peak positions follow from Bragg's law for the DFT cell and can differ from measured ones.

Principal peaks in the range 2θ = 5–70°, sorted by position:
2θ = 27.03°, I = 81
2θ = 27.11°, I = 27
2θ = 31.34°, I = 100
2θ = 44.85°, I = 37
2θ = 44.96°, I = 37
2θ = 53.18°, I = 41
2θ = 53.29°, I = 14
2θ = 55.73°, I = 20
2θ = 55.91°, I = 7
2θ = 65.38°, I = 12

Structure:
Unit cell a=6.9994 b=6.9994 c=6.9802 alpha=99.64 beta=99.64 gamma=119.97
Fractional positions:
La  0.0000  0.0000  0.0000
Pu  0.1638  0.8362  0.5000
Pu  0.3326  0.6674  0.0000
Pu  0.5000  0.5000  0.5000
Pu  0.6674  0.3326  0.0000
Pu  0.8362  0.1638  0.5000
P  0.0862  0.4308  0.2570
P  0.2603  0.2603  0.7444
P  0.4308  0.0862  0.2570
P  0.5692  0.9138  0.7430
P  0.7397  0.7397  0.2556
P  0.9138  0.5692  0.7430